Structure and theoretical XRD peak list of BeCd2Co (a crystal structure in Alexandria, relaxed with PBE; Cu Kα X-rays).
Intensities are scaled so that the largest is 100.

Crystal structure
```
data_BeCd2Co
_symmetry_space_group_name_H-M 'P 4 m m'
_symmetry_Int_Tables_number 99
_symmetry_space_group_name_Hall 'P 4 -2'
_cell_length_a 2.9146
_cell_length_b 2.9146
_cell_length_c 7.0521
_cell_angle_alpha 90.00
_cell_angle_beta 90.00
_cell_angle_gamma 90.00
loop_
_atom_site_label
_atom_site_type_symbol
_atom_site_fract_x
_atom_site_fract_y
_atom_site_fract_z
_atom_site_occupancy
Be1 Be 0.0000 0.0000 0.0000 1
Cd1 Cd 0.0000 0.0000 0.6211 1
Cd2 Cd 0.5000 0.5000 0.2741 1
Co1 Co 0.5000 0.5000 0.8867 1
```

The 10 most intense peaks (2θ = 5–70°), by angle:
hkl 0 0 1, 2θ 12.55, I 14; hkl 0 0 2, 2θ 25.26, I 12; hkl 1 0 1, 2θ 33.26, I 100; hkl 0 0 3, 2θ 38.29, I 34; hkl 1 0 2, 2θ 40.14, I 97; hkl 1 1 0, 2θ 43.93, I 58; hkl 1 0 3, 2θ 49.84, I 8; hkl 1 1 3, 2θ 59.67, I 34; hkl 1 0 4, 2θ 61.47, I 10; hkl 2 0 0, 2θ 63.88, I 18